(1)
This entry pairs a crystal structure of CaH6Ir with its calculated X-ray diffraction stick pattern. Radiation: λ = 1.5418 Å (Cu Kα). Structure: a cell relaxed with GGA-PBE.
Peak positions follow from Bragg's law for the DFT cell and can differ from measured ones.

Structural model:
```
data_CaH6Ir
_space_group_name_H-M_alt 'P 1'
_space_group_IT_number 1
_space_group_name_Hall 'P 1'
_cell_length_a 4.276
_cell_length_b 4.276
_cell_length_c 8.563
_cell_angle_alpha 103.74
_cell_angle_beta 103.74
_cell_angle_gamma 69.05
loop_
_atom_site_label
_atom_site_fract_x
_atom_site_fract_y
_atom_site_fract_z
Ca1 0.202 0.798 0.750
Ca2 0.798 0.202 0.250
H1 0.048 0.595 0.204
H2 0.111 0.238 0.537
H3 0.238 0.111 0.037
H4 0.405 0.952 0.296
H5 0.415 0.430 0.985
H6 0.430 0.415 0.485
H7 0.570 0.585 0.515
H8 0.585 0.570 0.015
H9 0.595 0.048 0.704
H10 0.762 0.889 0.963
H11 0.889 0.762 0.463
H12 0.952 0.405 0.796
Ir1 0.000 0.500 0.000
Ir2 0.500 0.000 0.500
```

Peak list (12 most intense, 2θ from 5° to 70°, in order of rising 2θ)
Position (°2θ)  I_rel
21.68  35
23.37  58
26.42  21
26.72  100
29.03  41
36.74  43
37.10  20
39.17  18
42.79  29
43.37  23
44.18  14
47.78  20

***

(2)
This entry pairs a crystal structure of LiCa2H6Ir with its calculated X-ray diffraction stick pattern. Radiation: λ = 1.5418 Å (Cu Kα). Structure: a cell relaxed with GGA-PBE.
Peak positions follow from Bragg's law for the DFT cell and can differ from measured ones.

Structural model:
```
data_LiCa2H6Ir
_space_group_name_H-M_alt 'P 1'
_space_group_IT_number 1
_space_group_name_Hall 'P 1'
_cell_length_a 5.102
_cell_length_b 5.102
_cell_length_c 4.981
_cell_angle_alpha 90.00
_cell_angle_beta 90.00
_cell_angle_gamma 120.00
loop_
_atom_site_label
_atom_site_fract_x
_atom_site_fract_y
_atom_site_fract_z
Li1 0.000 0.000 0.000
Ca1 0.333 0.667 0.287
Ca2 0.667 0.333 0.713
H1 0.159 0.318 0.709
H2 0.159 0.841 0.709
H3 0.318 0.159 0.291
H4 0.682 0.841 0.709
H5 0.841 0.159 0.291
H6 0.841 0.682 0.291
Ir1 0.000 0.000 0.500
```

Peak list (12 most intense, 2θ from 5° to 70°, in order of rising 2θ)
Position (°2θ)  I_rel
17.81  54
20.10  67
26.97  100
35.18  54
39.70  42
40.85  11
41.63  48
44.88  26
55.61  21
58.27  24
59.47  15
67.53  23

***

(3)
This entry pairs a crystal structure of LiCaHIr with its calculated X-ray diffraction stick pattern. Radiation: λ = 1.5418 Å (Cu Kα). Structure: a cell relaxed with GGA-PBE.
Peak positions follow from Bragg's law for the DFT cell and can differ from measured ones.

Structural model:
```
data_LiCaHIr
_space_group_name_H-M_alt 'P 1'
_space_group_IT_number 1
_space_group_name_Hall 'P 1'
_cell_length_a 4.476
_cell_length_b 4.476
_cell_length_c 3.551
_cell_angle_alpha 90.00
_cell_angle_beta 90.00
_cell_angle_gamma 120.00
loop_
_atom_site_label
_atom_site_fract_x
_atom_site_fract_y
_atom_site_fract_z
Li1 0.000 0.000 0.000
Ca1 0.333 0.667 0.500
H1 0.667 0.333 0.500
Ir1 0.667 0.333 0.000
```

Peak list (12 most intense, 2θ from 5° to 70°, in order of rising 2θ)
Position (°2θ)  I_rel
22.95  89
25.07  18
34.25  100
40.30  41
46.88  14
48.06  21
51.46  7
53.90  28
57.05  16
63.50  11
67.32  18
69.40  26

***

(4)
This entry pairs a crystal structure of LiCaHIr with its calculated X-ray diffraction stick pattern. Radiation: λ = 1.5418 Å (Cu Kα). Structure: a cell relaxed with GGA-PBE.
Peak positions follow from Bragg's law for the DFT cell and can differ from measured ones.

Structural model:
```
data_LiCaHIr
_space_group_name_H-M_alt 'P 1'
_space_group_IT_number 1
_space_group_name_Hall 'P 1'
_cell_length_a 3.010
_cell_length_b 3.010
_cell_length_c 13.011
_cell_angle_alpha 90.00
_cell_angle_beta 90.00
_cell_angle_gamma 90.00
loop_
_atom_site_label
_atom_site_fract_x
_atom_site_fract_y
_atom_site_fract_z
Li1 0.000 0.000 0.000
Li2 0.500 0.500 0.500
Ca1 0.000 0.000 0.725
Ca2 0.500 0.500 0.225
H1 0.000 0.000 0.143
H2 0.500 0.500 0.643
Ir1 0.000 0.000 0.382
Ir2 0.500 0.500 0.882
```

Peak list (12 most intense, 2θ from 5° to 70°, in order of rising 2θ)
Position (°2θ)  I_rel
13.61  100
27.42  16
30.48  54
36.33  69
41.65  11
42.47  23
44.80  22
46.11  23
51.29  12
58.35  8
60.99  14
63.43  8

***

(5)
This entry pairs a crystal structure of Li2CaH6Ir with its calculated X-ray diffraction stick pattern. Radiation: λ = 1.5418 Å (Cu Kα). Structure: a cell relaxed with GGA-PBE.
Peak positions follow from Bragg's law for the DFT cell and can differ from measured ones.

Structural model:
```
data_Li2CaH6Ir
_space_group_name_H-M_alt 'P 1'
_space_group_IT_number 1
_space_group_name_Hall 'P 1'
_cell_length_a 5.100
_cell_length_b 4.452
_cell_length_c 8.960
_cell_angle_alpha 90.00
_cell_angle_beta 103.14
_cell_angle_gamma 90.00
loop_
_atom_site_label
_atom_site_fract_x
_atom_site_fract_y
_atom_site_fract_z
Li1 0.140 0.064 0.224
Li2 0.140 0.436 0.724
Li3 0.860 0.564 0.276
Li4 0.860 0.936 0.776
Ca1 0.500 0.000 0.000
Ca2 0.500 0.500 0.500
H1 0.080 0.208 0.901
H2 0.080 0.292 0.401
H3 0.162 0.704 0.891
H4 0.162 0.796 0.391
H5 0.299 0.057 0.637
H6 0.299 0.443 0.137
H7 0.701 0.557 0.863
H8 0.701 0.943 0.363
H9 0.838 0.204 0.609
H10 0.838 0.296 0.109
H11 0.920 0.708 0.599
H12 0.920 0.792 0.099
Ir1 0.000 0.000 0.500
Ir2 0.000 0.500 0.000
```

Peak list (12 most intense, 2θ from 5° to 70°, in order of rising 2θ)
Position (°2θ)  I_rel
17.86  65
20.36  100
22.42  67
23.89  27
27.29  99
30.25  98
36.17  24
36.91  20
37.37  23
37.93  48
44.45  27
45.76  24

***

(6)
This entry pairs a crystal structure of CaMnH8Ir2 with its calculated X-ray diffraction stick pattern. Radiation: λ = 1.5418 Å (Cu Kα). Structure: a cell relaxed with GGA-PBE.
Peak positions follow from Bragg's law for the DFT cell and can differ from measured ones.

Structural model:
```
data_CaMnH8Ir2
_space_group_name_H-M_alt 'P 1'
_space_group_IT_number 1
_space_group_name_Hall 'P 1'
_cell_length_a 6.093
_cell_length_b 6.093
_cell_length_c 6.093
_cell_angle_alpha 44.90
_cell_angle_beta 44.90
_cell_angle_gamma 44.90
loop_
_atom_site_label
_atom_site_fract_x
_atom_site_fract_y
_atom_site_fract_z
Ca1 0.000 0.000 0.000
Mn1 0.500 0.500 0.500
H1 0.128 0.557 0.557
H2 0.312 0.312 0.312
H3 0.443 0.443 0.872
H4 0.443 0.872 0.443
H5 0.557 0.128 0.557
H6 0.557 0.557 0.128
H7 0.688 0.688 0.688
H8 0.872 0.443 0.443
Ir1 0.214 0.214 0.214
Ir2 0.786 0.786 0.786
```

Peak list (12 most intense, 2θ from 5° to 70°, in order of rising 2θ)
Position (°2θ)  I_rel
16.21  76
24.61  83
31.12  88
35.28  61
38.70  100
42.21  43
44.73  44
50.47  22
60.61  19
65.00  21
65.36  20
67.84  19

***

(7)
This entry pairs a crystal structure of NaCaH6Ir with its calculated X-ray diffraction stick pattern. Radiation: λ = 1.5418 Å (Cu Kα). Structure: a cell relaxed with GGA-PBE.
Peak positions follow from Bragg's law for the DFT cell and can differ from measured ones.

Structural model:
```
data_NaCaH6Ir
_space_group_name_H-M_alt 'P 1'
_space_group_IT_number 1
_space_group_name_Hall 'P 1'
_cell_length_a 5.071
_cell_length_b 5.071
_cell_length_c 5.071
_cell_angle_alpha 60.00
_cell_angle_beta 60.00
_cell_angle_gamma 60.00
loop_
_atom_site_label
_atom_site_fract_x
_atom_site_fract_y
_atom_site_fract_z
Na1 0.000 0.000 0.000
Ca1 0.500 0.500 0.500
H1 0.015 0.015 0.485
H2 0.015 0.485 0.015
H3 0.015 0.485 0.485
H4 0.485 0.015 0.015
H5 0.485 0.015 0.485
H6 0.485 0.485 0.015
Ir1 0.250 0.250 0.250
```

Peak list (10 most intense, 2θ from 5° to 70°, in order of rising 2θ)
Position (°2θ)  I_rel
21.46  100
24.83  22
35.40  75
41.77  53
43.72  6
50.93  14
55.88  23
57.46  10
63.55  27
67.91  17

***

(8)
This entry pairs a crystal structure of CaH8Ir2Pt with its calculated X-ray diffraction stick pattern. Radiation: λ = 1.5418 Å (Cu Kα). Structure: a cell relaxed with GGA-PBE.
Peak positions follow from Bragg's law for the DFT cell and can differ from measured ones.

Structural model:
```
data_CaH8Ir2Pt
_space_group_name_H-M_alt 'P 1'
_space_group_IT_number 1
_space_group_name_Hall 'P 1'
_cell_length_a 6.305
_cell_length_b 6.305
_cell_length_c 6.305
_cell_angle_alpha 44.79
_cell_angle_beta 44.79
_cell_angle_gamma 44.79
loop_
_atom_site_label
_atom_site_fract_x
_atom_site_fract_y
_atom_site_fract_z
Ca1 0.000 0.000 0.000
H1 0.128 0.710 0.452
H2 0.290 0.548 0.872
H3 0.311 0.311 0.311
H4 0.452 0.128 0.710
H5 0.548 0.872 0.290
H6 0.689 0.689 0.689
H7 0.710 0.452 0.128
H8 0.872 0.290 0.548
Ir1 0.216 0.216 0.216
Ir2 0.784 0.784 0.784
Pt1 0.500 0.500 0.500
```

Peak list (12 most intense, 2θ from 5° to 70°, in order of rising 2θ)
Position (°2θ)  I_rel
15.65  90
30.07  100
34.07  10
37.44  88
40.81  51
43.16  44
48.74  26
58.43  19
58.71  12
63.04  25
67.54  16
69.82  11

***

(9)
This entry pairs a crystal structure of Rb2CaH6Ir with its calculated X-ray diffraction stick pattern. Radiation: λ = 1.5418 Å (Cu Kα). Structure: a cell relaxed with GGA-PBE.
Peak positions follow from Bragg's law for the DFT cell and can differ from measured ones.

Structural model:
```
data_Rb2CaH6Ir
_space_group_name_H-M_alt 'P 1'
_space_group_IT_number 1
_space_group_name_Hall 'P 1'
_cell_length_a 6.239
_cell_length_b 6.239
_cell_length_c 5.859
_cell_angle_alpha 90.00
_cell_angle_beta 90.00
_cell_angle_gamma 120.00
loop_
_atom_site_label
_atom_site_fract_x
_atom_site_fract_y
_atom_site_fract_z
Rb1 0.333 0.667 0.137
Rb2 0.667 0.333 0.863
Ca1 0.000 0.000 0.500
H1 0.128 0.256 0.831
H2 0.128 0.872 0.831
H3 0.256 0.128 0.169
H4 0.744 0.872 0.831
H5 0.872 0.128 0.169
H6 0.872 0.744 0.169
Ir1 0.000 0.000 0.000
```

Peak list (12 most intense, 2θ from 5° to 70°, in order of rising 2θ)
Position (°2θ)  I_rel
15.12  64
16.41  52
22.38  47
28.62  100
32.52  58
34.84  59
42.32  18
45.68  28
49.63  15
50.69  20
53.21  15
54.80  32

***

(10)
This entry pairs a crystal structure of Sr2CaH8Ir with its calculated X-ray diffraction stick pattern. Radiation: λ = 1.5418 Å (Cu Kα). Structure: a cell relaxed with GGA-PBE.
Peak positions follow from Bragg's law for the DFT cell and can differ from measured ones.

Structural model:
```
data_Sr2CaH8Ir
_space_group_name_H-M_alt 'P 1'
_space_group_IT_number 1
_space_group_name_Hall 'P 1'
_cell_length_a 5.167
_cell_length_b 5.167
_cell_length_c 6.606
_cell_angle_alpha 90.00
_cell_angle_beta 90.00
_cell_angle_gamma 120.00
loop_
_atom_site_label
_atom_site_fract_x
_atom_site_fract_y
_atom_site_fract_z
Sr1 0.333 0.667 0.303
Sr2 0.667 0.333 0.697
Ca1 0.000 0.000 0.000
H1 0.155 0.310 0.649
H2 0.155 0.845 0.649
H3 0.310 0.155 0.351
H4 0.333 0.667 0.942
H5 0.667 0.333 0.058
H6 0.690 0.845 0.649
H7 0.845 0.155 0.351
H8 0.845 0.690 0.351
Ir1 0.000 0.000 0.500
```

Peak list (12 most intense, 2θ from 5° to 70°, in order of rising 2θ)
Position (°2θ)  I_rel
13.40  64
19.84  40
24.02  83
33.73  100
34.72  78
37.38  31
42.67  19
45.93  24
49.19  35
56.14  17
61.61  35
62.24  14

***

(11)
This entry pairs a crystal structure of CaYH6Ir2 with its calculated X-ray diffraction stick pattern. Radiation: λ = 1.5418 Å (Cu Kα). Structure: a cell relaxed with GGA-PBE.
Peak positions follow from Bragg's law for the DFT cell and can differ from measured ones.

Structural model:
```
data_CaYH6Ir2
_space_group_name_H-M_alt 'P 1'
_space_group_IT_number 1
_space_group_name_Hall 'P 1'
_cell_length_a 6.064
_cell_length_b 6.064
_cell_length_c 6.102
_cell_angle_alpha 101.07
_cell_angle_beta 101.07
_cell_angle_gamma 101.74
loop_
_atom_site_label
_atom_site_fract_x
_atom_site_fract_y
_atom_site_fract_z
Ca1 0.157 0.843 0.750
Ca2 0.843 0.157 0.250
Y1 0.398 0.602 0.250
Y2 0.602 0.398 0.750
H1 0.059 0.565 0.383
H2 0.183 0.196 0.056
H3 0.196 0.183 0.556
H4 0.311 0.540 0.869
H5 0.435 0.941 0.117
H6 0.460 0.689 0.631
H7 0.540 0.311 0.369
H8 0.565 0.059 0.883
H9 0.689 0.460 0.131
H10 0.804 0.817 0.444
H11 0.817 0.804 0.944
H12 0.941 0.435 0.617
Ir1 0.069 0.321 0.818
Ir2 0.321 0.069 0.318
Ir3 0.679 0.931 0.682
Ir4 0.931 0.679 0.182
```

Peak list (12 most intense, 2θ from 5° to 70°, in order of rising 2θ)
Position (°2θ)  I_rel
18.90  100
24.36  79
30.77  53
30.97  35
31.15  61
33.01  47
36.74  28
38.04  100
38.26  80
41.67  29
45.67  25
49.88  24

***

(12)
This entry pairs a crystal structure of K2CaMgH6 with its calculated X-ray diffraction stick pattern. Radiation: λ = 1.5418 Å (Cu Kα). Structure: a cell relaxed with GGA-PBE.
Peak positions follow from Bragg's law for the DFT cell and can differ from measured ones.

Structural model:
```
data_K2CaMgH6
_space_group_name_H-M_alt 'P 1'
_space_group_IT_number 1
_space_group_name_Hall 'P 1'
_cell_length_a 4.259
_cell_length_b 4.259
_cell_length_c 8.357
_cell_angle_alpha 90.00
_cell_angle_beta 90.00
_cell_angle_gamma 90.00
loop_
_atom_site_label
_atom_site_fract_x
_atom_site_fract_y
_atom_site_fract_z
K1 0.000 0.000 0.232
K2 0.000 0.000 0.768
Ca1 0.500 0.500 0.500
Mg1 0.500 0.500 0.000
H1 0.000 0.500 0.000
H2 0.000 0.500 0.500
H3 0.500 0.000 0.000
H4 0.500 0.000 0.500
H5 0.500 0.500 0.229
H6 0.500 0.500 0.771
```

Peak list (12 most intense, 2θ from 5° to 70°, in order of rising 2θ)
Position (°2θ)  I_rel
23.45  6
29.67  53
29.96  100
42.45  21
43.31  9
44.30  3
52.83  35
53.37  16
61.60  6
62.26  10
69.85  7
70.00  7

***

(13)
This entry pairs a crystal structure of K4CaMg3H12 with its calculated X-ray diffraction stick pattern. Radiation: λ = 1.5418 Å (Cu Kα). Structure: a cell relaxed with GGA-PBE.
Peak positions follow from Bragg's law for the DFT cell and can differ from measured ones.

Structural model:
```
data_K4CaMg3H12
_space_group_name_H-M_alt 'P 1'
_space_group_IT_number 1
_space_group_name_Hall 'P 1'
_cell_length_a 7.107
_cell_length_b 7.107
_cell_length_c 7.107
_cell_angle_alpha 109.47
_cell_angle_beta 109.47
_cell_angle_gamma 109.47
loop_
_atom_site_label
_atom_site_fract_x
_atom_site_fract_y
_atom_site_fract_z
K1 0.000 0.000 0.500
K2 0.000 0.500 0.000
K3 0.500 0.000 0.000
K4 0.500 0.500 0.500
Ca1 0.000 0.000 0.000
Mg1 0.000 0.500 0.500
Mg2 0.500 0.000 0.500
Mg3 0.500 0.500 0.000
H1 0.000 0.266 0.266
H2 0.000 0.734 0.734
H3 0.250 0.500 0.750
H4 0.250 0.750 0.500
H5 0.266 0.000 0.266
H6 0.266 0.266 0.000
H7 0.500 0.250 0.750
H8 0.500 0.750 0.250
H9 0.734 0.000 0.734
H10 0.734 0.734 0.000
H11 0.750 0.250 0.500
H12 0.750 0.500 0.250
```

Peak list (11 most intense, 2θ from 5° to 70°, in order of rising 2θ)
Position (°2θ)  I_rel
15.27  2
21.66  2
26.61  1
30.82  100
34.56  1
37.98  2
41.16  1
44.14  20
49.69  1
54.80  34
64.20  11